# LaHo4Se5
Simulated powder X-ray diffraction pattern, Cu Kα X-rays. Input: the PBE geometry in Alexandria.

The 10 most intense peaks (10° ≤ 2θ ≤ 90°), in order of rising 2θ:
2θ (°)  I (rel.)
26.5  105
26.6  102
30.8  1000
43.9  120
44.1  494
44.3  124
54.5  127
54.9  131
72.7  219
80.8  118

Atomic structure:
```
LaHo4Se5
1.0
-2.0452 2.9095 10.3099
2.0452 -2.9095 10.3099
2.0452 2.9095 -10.3099
La Ho Se
1 4 5
Cartesian
0.0000 0.0000 0.0000
0.0000 0.0000 4.1934
0.0000 0.0000 8.2701
0.0000 0.0000 12.3497
0.0000 0.0000 16.4265
2.0452 0.0000 2.2207
2.0452 0.0000 6.2228
0.0000 2.9095 0.0000
0.0000 2.9095 4.0871
0.0000 2.9095 8.0893
```

---

# La3HoSe4
Simulated powder X-ray diffraction pattern, Cu Kα X-rays. Input: the PBE geometry in Alexandria.

The 10 most intense peaks (10° ≤ 2θ ≤ 90°), in order of rising 2θ:
2θ (°)  I (rel.)
25.7  117
29.7  1000
42.4  374
42.6  248
42.8  122
52.4  66
52.7  66
52.9  129
61.8  80
69.7  110

Atomic structure:
```
La3HoSe4
1.0
7.4055 0.0000 0.0000
0.0000 8.4509 0.0000
-2.4382 0.0000 6.9437
La Ho Se
6 2 8
Cartesian
-0.6096 1.0465 1.7359
-1.8287 3.1599 5.2078
-0.6096 5.2910 1.7359
-1.8287 7.4044 5.2078
1.8741 1.0567 5.2078
3.0932 7.3942 1.7359
3.0932 3.1600 1.7359
1.8741 5.2909 5.2078
1.8894 1.1212 0.0558
0.6702 7.3297 3.5277
0.7400 3.2351 3.4701
-0.4791 5.2158 6.9420
5.4464 3.2351 0.0017
4.2273 5.2158 3.4736
4.2971 1.1212 3.4160
3.0779 7.3297 6.8879
```

---

# LaHo2Se4
Simulated powder X-ray diffraction pattern, Cu Kα X-rays. Input: the PBE geometry in Alexandria.

The 10 most intense peaks (10° ≤ 2θ ≤ 90°), in order of rising 2θ:
2θ (°)  I (rel.)
23.4  962
29.0  400
29.7  260
30.4  879
32.4  1000
39.9  612
42.4  304
44.5  569
45.0  760
65.1  312

Atomic structure:
```
LaHo2Se4
1.0
2.0360 -6.7166 0.0000
2.0360 6.7166 0.0000
0.0000 0.0000 13.8533
La Ho Se
2 4 8
Cartesian
2.0360 5.0879 10.3900
2.0360 -5.0879 3.4633
2.0360 1.7587 7.8386
2.0360 1.7587 12.9414
2.0360 -1.7587 0.9120
2.0360 -1.7587 6.0147
0.0000 0.0000 0.0000
0.0000 0.0000 6.9267
2.0360 3.0621 1.6530
2.0360 3.0621 5.2737
2.0360 0.5953 10.3900
2.0360 -0.5953 3.4633
2.0360 -3.0621 8.5796
2.0360 -3.0621 12.2004
```

---

# LaHo6Se8
Simulated powder X-ray diffraction pattern, Cu Kα X-rays. Input: the PBE geometry in Alexandria.

The 10 most intense peaks (10° ≤ 2θ ≤ 90°), in order of rising 2θ:
2θ (°)  I (rel.)
15.4  61
21.9  53
26.9  144
31.1  1000
44.6  733
52.9  77
55.4  255
64.9  117
73.8  320
82.2  240

Atomic structure:
```
LaHo6Se8
1.0
0.0000 5.7436 5.7436
5.7436 0.0000 5.7436
5.7436 5.7436 0.0000
La Ho Se
1 6 8
Cartesian
0.0000 0.0000 0.0000
2.8718 2.8718 0.0000
2.8718 0.0000 2.8718
5.7436 2.8718 2.8718
0.0000 2.8718 2.8718
2.8718 5.7436 2.8718
2.8718 2.8718 5.7436
2.8718 2.8718 2.8718
5.7436 5.7436 3.0205
5.7436 3.0205 5.7436
8.4667 5.7436 5.7436
3.0205 5.7436 5.7436
5.7436 8.4667 5.7436
5.7436 5.7436 8.4667
8.6154 8.6154 8.6154
```

---

# LaHoSe3
Simulated powder X-ray diffraction pattern, Cu Kα X-rays. Input: the PBE geometry in Alexandria.

The 10 most intense peaks (10° ≤ 2θ ≤ 90°), in order of rising 2θ:
2θ (°)  I (rel.)
24.7  620
24.9  273
30.0  307
33.2  1000
35.1  472
35.5  369
37.0  501
41.2  256
43.0  487
66.6  267

Atomic structure:
```
LaHoSe3
1.0
7.7997 0.0000 0.0000
0.0000 4.2114 0.0000
0.0000 0.0000 16.1155
La Ho Se
4 4 12
Cartesian
1.0905 1.0529 3.2207
2.8093 3.1586 11.2784
4.9903 1.0529 4.8371
6.7092 3.1586 12.8948
1.7780 3.1586 7.3629
2.1218 1.0529 15.4207
5.6779 3.1586 0.6948
6.0217 1.0529 8.7526
0.0817 1.0529 6.3795
0.9725 3.1586 0.9693
1.1930 1.0529 12.6500
2.7068 3.1586 4.5922
2.9273 1.0529 9.0271
3.8182 3.1586 14.4373
3.9815 1.0529 1.6782
4.8724 3.1586 7.0884
5.0929 1.0529 11.5233
6.6066 3.1586 3.4655
6.8272 1.0529 15.1461
7.7180 3.1586 9.7360
```

---

# LaSm2Ho3Se6
Simulated powder X-ray diffraction pattern, Cu Kα X-rays. Input: the PBE geometry in Alexandria.

The 10 most intense peaks (10° ≤ 2θ ≤ 90°), in order of rising 2θ:
2θ (°)  I (rel.)
26.5  96
30.6  1000
43.4  251
43.5  124
44.0  123
44.2  242
54.5  129
63.6  120
71.7  110
72.8  109

Atomic structure:
```
LaSm2Ho3Se6
1.0
3.5474 -6.1770 0.0000
3.5474 6.1770 0.0000
-2.3809 0.0000 6.8564
La Sm Ho Se
1 2 3 6
Cartesian
0.0000 0.0000 0.0000
3.5474 2.0702 0.0000
3.5474 -2.0702 0.0000
2.3570 4.1413 3.4282
2.3570 0.0000 3.4282
2.3570 -4.1413 3.4282
1.1983 2.0889 1.8189
0.0264 0.0000 5.0566
1.1983 -2.0889 1.8189
3.5157 2.0889 5.0375
4.6876 0.0000 1.7997
3.5157 -2.0889 5.0375
```

---

# LaSmHo2Se6
Simulated powder X-ray diffraction pattern, Cu Kα X-rays. Input: the PBE geometry in Alexandria.

The 10 most intense peaks (10° ≤ 2θ ≤ 90°), in order of rising 2θ:
2θ (°)  I (rel.)
16.6  460
23.0  650
24.2  443
27.9  649
33.6  498
36.9  1000
41.9  414
42.6  679
48.9  341
57.6  243

Atomic structure:
```
LaSmHo2Se6
1.0
3.6768 2.1228 6.4896
-3.6768 2.1228 6.4896
0.0000 -4.2456 6.4896
La Sm Ho Se
1 1 2 6
Cartesian
0.0000 0.0000 0.0000
0.0000 0.0000 9.6381
0.0000 0.0000 5.7354
0.0000 0.0000 15.5194
-2.1790 -0.1928 7.6177
-1.4458 -2.2200 10.8669
1.2565 -1.7907 7.6177
-1.1996 2.3621 10.8669
0.9225 1.9835 7.6177
2.6454 -0.1421 10.8669
```

---

# La3Ho2TmSe6
Simulated powder X-ray diffraction pattern, Cu Kα X-rays. Input: the PBE geometry in Alexandria.

The 10 most intense peaks (10° ≤ 2θ ≤ 90°), in order of rising 2θ:
2θ (°)  I (rel.)
26.4  135
30.3  1000
42.8  373
43.8  122
44.0  242
54.2  128
63.0  118
70.6  105
72.3  108
79.9  80

Atomic structure:
```
La3Ho2TmSe6
1.0
3.5652 -6.1945 0.0000
3.5652 6.1945 0.0000
-2.3886 0.0000 6.9943
La Ho Tm Se
3 2 1 6
Cartesian
0.0000 0.0000 0.0000
3.5652 2.0803 0.0000
3.5652 -2.0803 0.0000
2.3710 4.1299 3.4971
2.3710 -4.1299 3.4971
2.3710 0.0000 3.4971
1.1950 2.0498 1.9084
0.0082 0.0000 5.0937
1.1950 -2.0498 1.9084
3.5470 2.0498 5.0859
4.7337 0.0000 1.9006
3.5470 -2.0498 5.0859
```

---

# La5Sm12Ho2
Simulated powder X-ray diffraction pattern, Cu Kα X-rays. Input: the PBE geometry in Alexandria.

The 10 most intense peaks (10° ≤ 2θ ≤ 90°), in order of rising 2θ:
2θ (°)  I (rel.)
30.5  1000
33.1  231
34.0  187
38.6  105
48.2  134
51.8  91
52.4  72
57.5  169
58.7  112
63.4  81

Atomic structure:
```
La5Sm12Ho2
1.0
-2.7062 5.2722 11.6565
2.7062 -5.2722 11.6565
2.7062 5.2722 -11.6565
La Sm Ho
5 12 2
Cartesian
0.0000 0.0000 0.0000
0.0000 0.0000 4.6073
2.7062 0.0000 7.0046
0.0000 5.2722 4.6519
0.0000 0.0000 18.7057
2.7062 2.7431 -4.5112
2.7062 0.0000 2.4050
2.7062 -2.3720 9.6693
0.0000 2.9002 1.9872
0.0000 0.0000 9.7679
2.7062 2.7431 4.5112
0.0000 2.5291 7.1453
0.0000 0.0000 13.5451
2.7062 2.3720 9.6693
0.0000 7.6442 1.9872
0.0000 5.2722 9.2515
0.0000 2.5291 16.1677
2.7062 2.2714 0.0000
0.0000 3.0008 11.6565
```

---

# La8Sm5Ho
Simulated powder X-ray diffraction pattern, Cu Kα X-rays. Input: the PBE geometry in Alexandria.

The 10 most intense peaks (10° ≤ 2θ ≤ 90°), in order of rising 2θ:
2θ (°)  I (rel.)
27.4  733
28.3  763
28.5  885
30.8  280
32.9  1000
33.4  524
33.7  582
53.3  244
61.4  242
83.4  263

Atomic structure:
```
La8Sm5Ho
1.0
-4.9600 4.9600 5.1668
4.9600 -4.9600 5.1668
4.9600 4.9600 -5.1668
La Sm Ho
8 5 1
Cartesian
4.1372 1.8440 -0.0457
0.6709 1.6786 1.6387
3.1160 -0.8228 5.2126
1.8440 5.7828 0.0457
-3.2814 4.2891 3.5282
0.8228 3.1160 5.1211
3.2814 5.6309 3.5282
-0.6709 8.2414 1.6387
2.9366 -1.0202 1.8122
5.9802 -2.0234 3.3546
6.9834 1.0202 1.8122
3.9398 2.0234 3.3546
0.0000 4.9600 2.5834
0.0000 0.0000 5.1668
```